This entry pairs a crystal structure of Sr2NbFeO6 with its theoretical powder diffraction line list. Radiation: Cu Kα X-rays. Structure: a crystal structure in Alexandria, relaxed with PBE+U.
Neutral-atom scattering factors, no anomalous dispersion.

The 8 most intense peaks (2θ = 5–70°), by angle:
| d (Å) | two_theta | I (rel.) | (hkl) |
| --- | --- | --- | --- |
| 2.852 | 31.36 | 100 | 2 0 0 |
| 2.329 | 38.66 | 6 | 2 0 1 |
| 2.024 | 44.78 | 12 | 0 0 2 |
| 2.013 | 45.03 | 24 | 2 2 0 |
| 1.650 | 55.72 | 13 | 2 0 2 |
| 1.645 | 55.88 | 26 | 3 1 1 |
| 1.427 | 65.38 | 14 | 2 2 2 |
| 1.424 | 65.58 | 7 | 4 0 0 |

a = 5.6943 Å, b = 5.6943 Å, c = 4.0481 Å
α = 90.00°, β = 90.00°, γ = 90.00°
Fractional coordinates of all 10 atoms:
Sr 0.0000 0.5000 0.0000
Sr 0.5000 0.0000 0.0000
Nb 0.0000 0.0000 0.5000
Fe 0.5000 0.5000 0.5000
O 0.0000 0.0000 0.0000
O 0.2463 0.2463 0.5000
O 0.2463 0.7537 0.5000
O 0.5000 0.5000 0.0000
O 0.7537 0.2463 0.5000
O 0.7537 0.7537 0.5000